Entry 1:
Simulated XRD peak list
Compound: PmHoHgTe
Radiation: copper Kα
Structure: DFT lattice parameters and positions (PBE)
Kinematic intensities with the Lorentz-polarization factor, no thermal factor.

Atomic structure:
```
data_PmHoHgTe
_cell_length_a 4.2086
_cell_length_b 4.2086
_cell_length_c 23.3393
_cell_angle_alpha 90.00
_cell_angle_beta 90.00
_cell_angle_gamma 120.00
_space_group_name_H-M_alt 'R 3 m'
_space_group_IT_number 160
_space_group_name_Hall 'R 3 -2"'
loop_
_atom_site_label
_atom_site_fract_x
_atom_site_fract_y
_atom_site_fract_z
Pm1 0.0000 0.0000 0.0000
Ho1 0.0000 0.0000 0.4998
Hg1 0.0000 0.0000 0.7527
Te1 0.0000 0.0000 0.2469
```

Top 10 peaks for 15° ≤ 2θ ≤ 90°, in order of rising 2θ:
two_theta  I (rel.)  h k l
28.88  100  1 0 4
39.57  43  0 1 8
42.98  34  1 1 0
46.70  9  0 0 12
52.61  19  0 2 4
59.84  13  2 0 8
65.33  19  1 1 12
69.40  8  1 0 16
70.20  16  2 1 4
76.47  13  1 2 8

Entry 2:
Simulated XRD peak list
Compound: ZrGa6Fe3Co3
Radiation: copper Kα
Structure: DFT lattice parameters and positions (PBE)
Kinematic intensities with the Lorentz-polarization factor, no thermal factor.

Atomic structure:
```
data_ZrGa6Fe3Co3
_cell_length_a 4.965
_cell_length_b 6.441
_cell_length_c 6.456
_cell_angle_alpha 80.37
_cell_angle_beta 67.89
_cell_angle_gamma 67.86
_space_group_name_H-M_alt 'P -1'
_space_group_IT_number 2
loop_
_space_group_symop_operation_xyz
'x,y,z'
'-x,-y,-z'
loop_
_atom_site_label
_atom_site_fract_x
_atom_site_fract_y
_atom_site_fract_z
Zr1 0.000 0.000 0.000
Ga1 0.008 0.667 0.337
Ga2 0.323 0.173 0.178
Ga3 0.337 0.661 0.655
Fe1 0.000 0.500 0.000
Fe2 0.500 0.000 0.500
Fe3 0.500 0.500 0.000
Co1 0.000 0.000 0.500
Co2 0.485 0.246 0.760
```

Top 10 peaks for 15° ≤ 2θ ≤ 90°, in order of rising 2θ:
two_theta  I (rel.)  h k l
36.07  42  -1 1 1
36.19  44  2 1 1
36.48  42  1 2 2
42.21  66  0 2 2
42.34  100  2 2 2
42.65  60  1 1 3
43.49  67  0 2 -2
47.43  56  2 1 -1
47.81  50  0 3 1
79.11  41  1 -4 2

Entry 3:
Simulated XRD peak list
Compound: V4Te5C
Radiation: copper Kα
Structure: DFT lattice parameters and positions (PBE)
Kinematic intensities with the Lorentz-polarization factor, no thermal factor.

Atomic structure:
```
data_V4Te5C
_cell_length_a 17.398
_cell_length_b 3.321
_cell_length_c 7.633
_cell_angle_alpha 90.00
_cell_angle_beta 103.09
_cell_angle_gamma 90.00
_space_group_name_H-M_alt 'C 1 2/m 1'
_space_group_IT_number 12
loop_
_space_group_symop_operation_xyz
'x,y,z'
'-x,-y,-z'
'-x,y,-z'
'x,-y,z'
'x+1/2,y+1/2,z'
'-x+1/2,-y+1/2,-z'
'-x+1/2,y+1/2,-z'
'x+1/2,-y+1/2,z'
loop_
_atom_site_label
_atom_site_fract_x
_atom_site_fract_y
_atom_site_fract_z
V1 0.001 0.000 0.328
V2 0.115 0.500 0.560
Te1 0.000 0.500 0.000
Te2 0.154 0.000 0.838
Te3 0.158 0.000 0.327
C1 0.000 0.500 0.500
```

Top 10 peaks for 15° ≤ 2θ ≤ 90°, in order of rising 2θ:
two_theta  I (rel.)  h k l
28.12  38  4 0 -2
28.32  40  2 0 2
31.24  54  3 1 0
31.68  48  6 0 0
35.84  100  1 1 -2
47.66  17  2 0 -4
48.45  24  7 1 -2
48.70  26  5 1 2
55.32  15  0 2 0
58.19  19  1 1 4

Entry 4:
Simulated XRD peak list
Compound: KRuO4
Radiation: copper Kα
Structure: DFT lattice parameters and positions (PBE)
Kinematic intensities with the Lorentz-polarization factor, no thermal factor.

Atomic structure:
```
data_KRuO4
_cell_length_a 6.417
_cell_length_b 9.066
_cell_length_c 8.803
_cell_angle_alpha 90.00
_cell_angle_beta 90.00
_cell_angle_gamma 90.00
_space_group_name_H-M_alt 'C m c m'
_space_group_IT_number 63
_space_group_name_Hall '-C 2c 2'
loop_
_atom_site_label
_atom_site_fract_x
_atom_site_fract_y
_atom_site_fract_z
K1 0.000 0.000 0.000
Ru1 0.000 0.398 0.250
O1 0.000 0.291 0.085
O2 0.226 0.492 0.750
```

Top 10 peaks for 15° ≤ 2θ ≤ 90°, in order of rising 2θ:
two_theta  I (rel.)  h k l
16.93  29  1 1 0
19.72  82  1 1 1
20.17  20  0 0 2
22.06  55  0 2 1
26.45  100  1 1 2
27.80  30  2 0 0
34.35  22  1 3 1
35.77  34  2 2 1
45.34  20  1 3 3
53.71  21  2 4 2

Entry 5:
Simulated XRD peak list
Compound: Na2B3C
Radiation: copper Kα
Structure: DFT lattice parameters and positions (PBE)
Kinematic intensities with the Lorentz-polarization factor, no thermal factor.

Atomic structure:
```
data_Na2B3C
_cell_length_a 8.628
_cell_length_b 9.941
_cell_length_c 5.960
_cell_angle_alpha 90.00
_cell_angle_beta 90.00
_cell_angle_gamma 90.00
_space_group_name_H-M_alt 'A m a 2'
_space_group_IT_number 40
loop_
_space_group_symop_operation_xyz
'x,y,z'
'-x,-y,z'
'-x+1/2,y,z'
'x+1/2,-y,z'
'x,y+1/2,z+1/2'
'-x,-y+1/2,z+1/2'
'-x+1/2,y+1/2,z+1/2'
'x+1/2,-y+1/2,z+1/2'
loop_
_atom_site_label
_atom_site_fract_x
_atom_site_fract_y
_atom_site_fract_z
Na1 0.000 0.000 0.000
Na2 0.000 0.000 0.495
Na3 0.002 0.250 0.248
B1 0.250 0.080 0.256
B2 0.250 0.088 0.720
B3 0.250 0.165 0.011
B4 0.250 0.330 0.506
B5 0.250 0.338 0.970
B6 0.250 0.415 0.261
C1 0.250 0.167 0.499
C2 0.250 0.417 0.749
```

Top 10 peaks for 15° ≤ 2θ ≤ 90°, in order of rising 2θ:
two_theta  I (rel.)  h k l
35.11  20  0 2 2
36.14  9  0 4 0
41.05  100  2 2 2
41.92  85  4 0 0
55.77  11  4 2 2
62.32  9  0 0 4
64.33  16  0 6 2
75.93  12  6 2 2
77.96  20  4 0 4
79.77  16  4 6 2

Entry 6:
Simulated XRD peak list
Compound: Sm3ZnCo3
Radiation: copper Kα
Structure: DFT lattice parameters and positions (PBE)
Kinematic intensities with the Lorentz-polarization factor, no thermal factor.

Atomic structure:
```
data_Sm3ZnCo3
_cell_length_a 4.216
_cell_length_b 10.005
_cell_length_c 13.084
_cell_angle_alpha 90.00
_cell_angle_beta 90.00
_cell_angle_gamma 90.00
_space_group_name_H-M_alt 'C m c m'
_space_group_IT_number 63
_space_group_name_Hall '-C 2c 2'
loop_
_atom_site_label
_atom_site_fract_x
_atom_site_fract_y
_atom_site_fract_z
Sm1 0.000 0.005 0.250
Sm2 0.000 0.296 0.102
Zn1 0.000 0.000 0.000
Co1 0.000 0.299 0.750
Co2 0.000 0.415 0.596
```

Top 10 peaks for 15° ≤ 2θ ≤ 90°, in order of rising 2θ:
two_theta  I (rel.)  h k l
30.82  70  1 1 3
32.71  49  0 2 4
34.28  98  1 3 0
35.89  100  1 1 4
40.20  62  1 3 3
41.41  26  0 0 6
41.62  39  0 4 3
42.90  51  2 0 0
54.97  23  2 2 4
61.31  22  2 4 3

Entry 7:
Simulated XRD peak list
Compound: RbMn2Cl
Radiation: copper Kα
Structure: DFT lattice parameters and positions (PBE)
Kinematic intensities with the Lorentz-polarization factor, no thermal factor.

Atomic structure:
```
data_RbMn2Cl
_cell_length_a 5.032
_cell_length_b 5.032
_cell_length_c 22.226
_cell_angle_alpha 90.00
_cell_angle_beta 90.00
_cell_angle_gamma 90.00
_space_group_name_H-M_alt 'I 41/a m d'
_space_group_IT_number 141
loop_
_space_group_symop_operation_xyz
'x,y,z'
'-x,-y,-z'
'-y+1/4,x+3/4,z+1/4'
'y+1/4,-x+3/4,-z+1/4'
'-x+1/2,-y,z+1/2'
'x+1/2,y,-z+1/2'
'y+1/4,-x+1/4,z+3/4'
'-y+1/4,x+1/4,-z+3/4'
'x,-y,-z'
'-x,y,z'
'-y+1/4,-x+1/4,-z+3/4'
'y+1/4,x+1/4,z+3/4'
'-x+1/2,y,-z+1/2'
'x+1/2,-y,z+1/2'
'y+1/4,x+3/4,-z+1/4'
'-y+1/4,-x+3/4,z+1/4'
'x+1/2,y+1/2,z+1/2'
'-x+1/2,-y+1/2,-z+1/2'
'-y+3/4,x+1/4,z+3/4'
'y+3/4,-x+1/4,-z+3/4'
'-x,-y+1/2,z'
'x,y+1/2,-z'
'y+3/4,-x+3/4,z+1/4'
'-y+3/4,x+3/4,-z+1/4'
'x+1/2,-y+1/2,-z+1/2'
'-x+1/2,y+1/2,z+1/2'
'-y+3/4,-x+3/4,-z+1/4'
'y+3/4,x+3/4,z+1/4'
'-x,y+1/2,-z'
'x,-y+1/2,z'
'y+3/4,x+1/4,-z+3/4'
'-y+3/4,-x+1/4,z+3/4'
loop_
_atom_site_label
_atom_site_fract_x
_atom_site_fract_y
_atom_site_fract_z
Rb1 0.000 0.250 0.375
Mn1 0.000 0.000 0.000
Cl1 0.000 0.250 0.875
```

Top 10 peaks for 15° ≤ 2θ ≤ 90°, in order of rising 2θ:
two_theta  I (rel.)  h k l
21.35  91  1 0 3
26.30  100  1 1 2
26.76  53  1 0 5
32.22  53  0 0 8
34.97  46  1 1 6
36.62  34  2 0 2
39.31  32  2 0 4
40.28  35  2 1 1
54.13  44  2 2 4
55.19  23  2 0 10

Entry 8:
Simulated XRD peak list
Compound: Pm6Ni3H
Radiation: copper Kα
Structure: DFT lattice parameters and positions (PBE)
Kinematic intensities with the Lorentz-polarization factor, no thermal factor.

Atomic structure:
```
data_Pm6Ni3H
_cell_length_a 10.850
_cell_length_b 13.801
_cell_length_c 6.661
_cell_angle_alpha 90.00
_cell_angle_beta 90.00
_cell_angle_gamma 90.00
_space_group_name_H-M_alt 'C m c 21'
_space_group_IT_number 36
loop_
_space_group_symop_operation_xyz
'x,y,z'
'-x,-y,z+1/2'
'-x,y,z'
'x,-y,z+1/2'
'x+1/2,y+1/2,z'
'-x+1/2,-y+1/2,z+1/2'
'-x+1/2,y+1/2,z'
'x+1/2,-y+1/2,z+1/2'
loop_
_atom_site_label
_atom_site_fract_x
_atom_site_fract_y
_atom_site_fract_z
Pm1 0.000 0.046 0.000
Pm2 0.000 0.226 0.448
Pm3 0.164 0.279 0.926
Pm4 0.171 0.466 0.433
Ni1 0.000 0.399 0.722
Ni2 0.161 0.107 0.657
H1 0.000 0.209 0.098
```

Top 10 peaks for 15° ≤ 2θ ≤ 90°, in order of rising 2θ:
two_theta  I (rel.)  h k l
25.46  27  3 1 0
26.77  42  0 0 2
28.81  41  3 1 1
29.15  57  0 4 1
34.29  100  3 3 1
37.27  60  3 1 2
37.53  43  0 4 2
41.14  31  3 5 0
50.47  19  6 0 0
54.98  20  0 8 1